For Ag6BrF8, a DFT-relaxed cell (GGA-PBE, Alexandria) gives the theoretical powder diffractogram in this record (Cu Kα X-rays).
Intensities are scaled so that the largest is 100.

Main lines, by angle (2θ from 5° to 70°):
2θ/deg  d [Å]  I_rel
14.83  5.974  95
16.85  5.262  90
20.31  4.372  97
24.18  3.681  84
27.16  3.284  88
28.29  3.155  73
28.39  3.144  84
30.50  2.931  71
32.05  2.792  100
34.25  2.618  86
38.16  2.358  69
52.20  1.752  77

Lattice parameters (Å, degrees): 7.2573 7.8587 10.5239 90.00 90.00 90.00
Space group Pmn2_1 (No. 31)
Unique sites:
Ag (0.0000, 0.0004, 0.0000) x2
Ag (0.0000, 0.1768, 0.5617) x2
Ag (0.0000, 0.4062, 0.8211) x2
Ag (0.0000, 0.6224, 0.1982) x2
Ag (0.1882, 0.6732, 0.5685) x4
Br (0.0000, 0.7285, 0.7785) x2
F (0.0000, 0.1357, 0.8079) x2
F (0.0000, 0.3244, 0.0805) x2
F (0.2018, 0.6045, 0.3599) x4
F (0.2061, 0.9950, 0.5206) x4
F (0.2270, 0.3479, 0.5929) x4